(1)
Diffraction record for Mg14ZrSi. The X-ray diffraction stick pattern is theoretical, not measured: it uses the PBE geometry in the Materials Project and copper Kα.
Kinematic intensities with the Lorentz-polarization factor, no thermal factor.

Structure:
Cell lengths 6.2900, 6.2900, 10.2595 Å; angles 90.00, 90.00, 120.00 degrees
Positions (direct):
Mg (0.0000, 0.0000, 0.2416)
Mg (0.0000, 0.0000, 0.7584)
Mg (0.0131, 0.5066, 0.2529)
Mg (0.0131, 0.5066, 0.7471)
Mg (0.3305, 0.1653, 0.5000)
Mg (0.3404, 0.1702, 0.0000)
Mg (0.4934, 0.5066, 0.2529)
Mg (0.4934, 0.5066, 0.7471)
Mg (0.4934, 0.9869, 0.2529)
Mg (0.4934, 0.9869, 0.7471)
Mg (0.8298, 0.1702, 0.0000)
Mg (0.8298, 0.6596, 0.0000)
Mg (0.8347, 0.1653, 0.5000)
Mg (0.8347, 0.6695, 0.5000)
Zr (0.3333, 0.6667, 0.0000)
Si (0.3333, 0.6667, 0.5000)

Most intense lines, 2θ from 10° to 90°, low angle first:
16.27°, d 5.447, intensity 15; 18.44°, d 4.811, intensity 13; 32.88°, d 2.724, intensity 25; 34.98°, d 2.565, intensity 27; 37.38°, d 2.406, intensity 100; 48.77°, d 1.867, intensity 16; 58.71°, d 1.572, intensity 17; 64.32°, d 1.448, intensity 20; 70.21°, d 1.341, intensity 19; 71.71°, d 1.316, intensity 14

---

(2)
Diffraction record for Mg6ZrSi. The X-ray diffraction stick pattern is theoretical, not measured: it uses the PBE geometry in the Materials Project and copper Kα.
Kinematic intensities with the Lorentz-polarization factor, no thermal factor.

Structure:
Cell lengths 5.0525, 5.8796, 11.2943 Å; angles 90.00, 90.00, 90.00 degrees
Positions (direct):
Mg (0.0000, 0.0000, 0.0000)
Mg (0.0000, 0.0000, 0.4876)
Mg (0.0000, 0.2491, 0.7469)
Mg (0.0000, 0.2509, 0.2469)
Mg (0.0000, 0.5000, 0.5000)
Mg (0.0000, 0.5000, 0.9876)
Mg (0.0000, 0.7491, 0.2469)
Mg (0.0000, 0.7509, 0.7469)
Mg (0.5000, 0.2495, 0.0923)
Mg (0.5000, 0.2505, 0.5923)
Mg (0.5000, 0.7495, 0.5923)
Mg (0.5000, 0.7505, 0.0923)
Zr (0.5000, 0.0000, 0.8455)
Zr (0.5000, 0.5000, 0.3455)
Si (0.5000, 0.0000, 0.3354)
Si (0.5000, 0.5000, 0.8354)

Most intense lines, 2θ from 10° to 90°, low angle first:
15.69°, d 5.647, intensity 25; 17.00°, d 5.215, intensity 30; 24.53°, d 3.629, intensity 28; 34.39°, d 2.608, intensity 38; 35.54°, d 2.526, intensity 47; 36.45°, d 2.465, intensity 77; 38.86°, d 2.317, intensity 100; 50.29°, d 1.814, intensity 25; 58.20°, d 1.585, intensity 22; 70.08°, d 1.343, intensity 22

---

(3)
Diffraction record for Mg14ZrSi. The X-ray diffraction stick pattern is theoretical, not measured: it uses the PBE geometry in the Materials Project and copper Kα.
Kinematic intensities with the Lorentz-polarization factor, no thermal factor.

Structure:
Cell lengths 10.2060, 6.3595, 6.3595 Å; angles 57.92, 90.00, 90.00 degrees
Positions (direct):
Mg (0.0000, 0.0000, 0.0000)
Mg (0.0000, 0.0012, 0.4986)
Mg (0.0000, 0.4986, 0.0012)
Mg (0.0000, 0.4992, 0.4992)
Mg (0.2484, 0.6641, 0.6641)
Mg (0.2530, 0.1645, 0.6679)
Mg (0.2530, 0.6679, 0.1645)
Mg (0.2550, 0.1632, 0.1632)
Mg (0.5000, 0.5027, 0.9976)
Mg (0.5000, 0.9976, 0.5027)
Mg (0.7450, 0.1632, 0.1632)
Mg (0.7470, 0.1645, 0.6679)
Mg (0.7470, 0.6679, 0.1645)
Mg (0.7516, 0.6641, 0.6641)
Zr (0.5000, 0.5027, 0.5027)
Si (0.5000, 0.9985, 0.9985)

Most intense lines, 2θ from 10° to 90°, low angle first:
18.62°, d 4.765, intensity 14; 33.25°, d 2.695, intensity 30; 35.17°, d 2.552, intensity 41; 36.79°, d 2.443, intensity 57; 37.76°, d 2.383, intensity 100; 49.18°, d 1.853, intensity 17; 58.05°, d 1.589, intensity 19; 64.82°, d 1.438, intensity 19; 69.73°, d 1.349, intensity 23; 72.58°, d 1.303, intensity 14

---

(4)
Diffraction record for Mg6ZrSi. The X-ray diffraction stick pattern is theoretical, not measured: it uses the PBE geometry in the Materials Project and copper Kα.
Kinematic intensities with the Lorentz-polarization factor, no thermal factor.

Structure:
Cell lengths 4.8239, 6.4127, 10.8477 Å; angles 90.00, 90.00, 90.00 degrees
Positions (direct):
Mg (0.0000, 0.0000, 0.0000)
Mg (0.0000, 0.2455, 0.2491)
Mg (0.0000, 0.2545, 0.7491)
Mg (0.0000, 0.5000, 0.5000)
Mg (0.0000, 0.7455, 0.7491)
Mg (0.0000, 0.7545, 0.2491)
Mg (0.5000, 0.0000, 0.1656)
Mg (0.5000, 0.2484, 0.4144)
Mg (0.5000, 0.2516, 0.9144)
Mg (0.5000, 0.5000, 0.6656)
Mg (0.5000, 0.7484, 0.9144)
Mg (0.5000, 0.7516, 0.4144)
Zr (0.5000, 0.0000, 0.6559)
Zr (0.5000, 0.5000, 0.1559)
Si (0.0000, 0.0000, 0.5114)
Si (0.0000, 0.5000, 0.0114)

Most intense lines, 2θ from 10° to 90°, low angle first:
16.06°, d 5.520, intensity 39; 16.34°, d 5.424, intensity 19; 24.51°, d 3.632, intensity 24; 32.44°, d 2.760, intensity 36; 37.28°, d 2.412, intensity 36; 37.54°, d 2.396, intensity 100; 38.07°, d 2.364, intensity 57; 50.23°, d 1.816, intensity 20; 58.62°, d 1.575, intensity 17; 71.55°, d 1.319, intensity 18